Record 1
Diffraction record for YAlCu. The X-ray diffraction stick pattern is simulated, not measured: it uses a DFT-relaxed cell (PBE, the Materials Project) and a wavelength of 1.5418 Å.
Lines closer than 0.1° are merged.

Structural model:
Lattice parameters (Å, degrees): 7.165 7.165 4.600 90.00 90.00 120.00
Element x y z (fractional)
Y (0.000, 0.000, 0.000)
Y (0.333, 0.667, 0.500)
Y (0.667, 0.333, 0.500)
Al (0.000, 0.228, 0.500)
Al (0.228, 0.000, 0.500)
Al (0.772, 0.772, 0.500)
Cu (0.000, 0.401, 0.000)
Cu (0.401, 0.000, 0.000)
Cu (0.599, 0.599, 0.000)

Main lines, by angle (2θ from 15° to 90°):
24.1°, d 3.695, I 277, (1 0 1); 24.9°, d 3.583, I 768, (1 1 0); 31.7°, d 2.826, I 466, (1 1 1); 34.9°, d 2.572, I 1000, (2 0 1); 39.2°, d 2.300, I 369, (0 0 2); 43.3°, d 2.089, I 659, (2 1 1); 43.8°, d 2.068, I 380, (3 0 0); 46.9°, d 1.935, I 262, (1 1 2); 60.2°, d 1.538, I 284, (3 0 2); 69.1°, d 1.360, I 242, (3 2 1)


Record 2
Diffraction record for Mo3H. The X-ray diffraction stick pattern is simulated, not measured: it uses a DFT-relaxed cell (PBE, the Materials Project) and a wavelength of 1.5418 Å.
Lines closer than 0.1° are merged.

Structural model:
Lattice parameters (Å, degrees): 3.554 3.554 8.781 90.00 90.00 90.00
Element x y z (fractional)
Mo (0.000, 0.000, 0.000)
Mo (0.000, 0.500, 0.250)
Mo (0.000, 0.500, 0.750)
Mo (0.500, 0.000, 0.250)
Mo (0.500, 0.000, 0.750)
Mo (0.500, 0.500, 0.500)
H (0.000, 0.000, 0.500)
H (0.500, 0.500, 0.000)

Main lines, by angle (2θ from 15° to 90°):
20.2°, d 4.391, I 176, (0 0 2); 27.1°, d 3.294, I 343, (1 0 1); 35.7°, d 2.513, I 82, (1 1 0); 39.9°, d 2.259, I 120, (1 0 3); 41.1°, d 2.195, I 255, (0 0 4); 41.4°, d 2.181, I 1000, (1 1 2); 51.4°, d 1.777, I 259, (2 0 0); 67.9°, d 1.381, I 221, (2 0 4); 75.1°, d 1.265, I 166, (1 1 6); 90.0°, d 1.091, I 111, (2 2 4)